(1)
The following is a calculated powder X-ray diffraction pattern of La2SmC2Cl2. It was derived from a DFT-relaxed cell (GGA-PBE, Alexandria), using λ = 1.5418 Å (Cu Kα).

Cell and atoms:
```
data_La2SmC2Cl2
_cell_length_a 4.679
_cell_length_b 4.679
_cell_length_c 14.837
_cell_angle_alpha 90.00
_cell_angle_beta 90.00
_cell_angle_gamma 90.00
_symmetry_space_group_name_H-M 'I 4/m m m'
_symmetry_Int_Tables_number 139
_symmetry_space_group_name_Hall '-I 4 2'
loop_
_atom_site_label
_atom_site_type_symbol
_atom_site_fract_x
_atom_site_fract_y
_atom_site_fract_z
La1 La 0.000 0.000 0.104
Sm1 Sm 0.000 0.000 0.500
C1 C 0.000 0.500 0.000
Cl1 Cl 0.000 0.000 0.306
```

Peak list (10 most intense, 2θ = 10–90°, in order of rising 2θ)
hkl, Position (°2θ), I/Imax
0 0 2, 11.9, 50.1
1 0 3, 26.2, 34.1
1 1 0, 26.9, 99.0
1 0 5, 35.8, 100.0
2 0 0, 38.5, 45.0
2 1 3, 47.1, 18.8
2 1 5, 53.6, 61.5
2 2 0, 55.5, 15.0
3 1 0, 62.8, 17.9
3 2 5, 80.8, 18.4

***

(2)
The following is a calculated powder X-ray diffraction pattern of Rb3Cd4Au. It was derived from a DFT-relaxed cell (GGA-PBE, Alexandria), using λ = 1.5418 Å (Cu Kα).

Cell and atoms:
```
data_Rb3Cd4Au
_cell_length_a 6.422
_cell_length_b 7.696
_cell_length_c 11.611
_cell_angle_alpha 90.00
_cell_angle_beta 90.00
_cell_angle_gamma 90.00
_symmetry_space_group_name_H-M 'I m m 2'
_symmetry_Int_Tables_number 44
loop_
_symmetry_equiv_pos_as_xyz
'x,y,z'
'-x,-y,z'
'-x,y,z'
'x,-y,z'
'x+1/2,y+1/2,z+1/2'
'-x+1/2,-y+1/2,z+1/2'
'-x+1/2,y+1/2,z+1/2'
'x+1/2,-y+1/2,z+1/2'
loop_
_atom_site_label
_atom_site_type_symbol
_atom_site_fract_x
_atom_site_fract_y
_atom_site_fract_z
Rb1 Rb 0.000 0.000 0.000
Rb2 Rb 0.000 0.238 0.651
Cd1 Cd 0.000 0.309 0.324
Cd2 Cd 0.240 0.500 0.899
Au1 Au 0.000 0.500 0.110
```

Peak list (10 most intense, 2θ = 10–90°, in order of rising 2θ)
hkl, Position (°2θ), I/Imax
0 1 1, 13.8, 71.5
1 0 1, 15.8, 34.6
1 0 3, 26.9, 43.6
2 0 0, 27.8, 61.5
1 2 1, 28.1, 100.0
2 1 1, 31.1, 56.1
2 0 2, 31.8, 32.3
1 2 3, 35.8, 69.2
2 1 3, 38.2, 32.8
2 2 2, 39.7, 39.9

***

(3)
The following is a calculated powder X-ray diffraction pattern of Pa4TlNi3S12. It was derived from a DFT-relaxed cell (GGA-PBE, Alexandria), using λ = 1.5418 Å (Cu Kα).

Cell and atoms:
```
data_Pa4TlNi3S12
_cell_length_a 9.671
_cell_length_b 9.671
_cell_length_c 9.671
_cell_angle_alpha 90.00
_cell_angle_beta 90.00
_cell_angle_gamma 90.00
_symmetry_space_group_name_H-M 'I m -3'
_symmetry_Int_Tables_number 204
_symmetry_space_group_name_Hall '-I 2 2 3'
loop_
_atom_site_label
_atom_site_type_symbol
_atom_site_fract_x
_atom_site_fract_y
_atom_site_fract_z
Pa1 Pa 0.250 0.250 0.250
Tl1 Tl 0.000 0.000 0.000
Ni1 Ni 0.000 0.000 0.500
S1 S 0.000 0.326 0.162
```

Peak list (10 most intense, 2θ = 10–90°, in order of rising 2θ)
hkl, Position (°2θ), I/Imax
2 0 0, 18.3, 20.2
2 2 0, 26.1, 100.0
3 0 1, 29.2, 8.6
4 0 0, 37.2, 24.0
4 2 0, 41.8, 15.0
4 2 2, 46.0, 60.4
4 4 0, 53.6, 14.5
6 2 0, 60.6, 23.1
6 2 4, 73.2, 23.3
6 6 0, 85.1, 17.9